Zr3Cd2: calculated XRD peak list (Cu Kα (λ = 1.5418 Å)), based on a DFT-relaxed cell (PBE, Alexandria).

Atomic structure:
Lattice parameters (Å, degrees): 10.5646 14.7302 5.7536 90.00 90.00 90.00
Space group Fdd2 (No. 43)
Unique sites:
Zr1 0.0000 0.0000 0.0000
Zr2 0.0504 0.4014 0.0178
Cd1 0.0286 0.2987 0.5548

Top 8 peaks for 2θ from 5° to 70°, most intense first:
2θ (°), d (Å), I/Imax
35.26, 2.545, 100
35.53, 2.526, 79
43.01, 2.103, 37
35.02, 2.562, 29
36.13, 2.486, 25
33.94, 2.641, 24
58.05, 1.589, 20
37.64, 2.390, 15


Dy2RhPb: calculated XRD peak list (Cu Kα (λ = 1.5418 Å)), based on a DFT-relaxed cell (PBE, Alexandria).

Atomic structure:
Lattice parameters (Å, degrees): 7.2777 7.2777 7.2777 90.00 90.00 90.00
Space group Fm-3m (No. 225)
Unique sites:
Dy1 0.2500 0.2500 0.2500
Rh1 0.0000 0.0000 0.0000
Pb1 0.0000 0.0000 0.5000

Top 7 peaks for 2θ from 5° to 70°, most intense first:
2θ (°), d (Å), I/Imax
34.87, 2.573, 100
62.52, 1.486, 37
50.14, 1.819, 18
21.14, 4.202, 5
41.14, 2.194, 3
55.00, 1.670, 1
66.79, 1.401, 1


GaFe3: calculated XRD peak list (Cu Kα (λ = 1.5418 Å)), based on a DFT-relaxed cell (PBE, Alexandria).

Atomic structure:
Lattice parameters (Å, degrees): 3.0242 4.1116 7.8822 90.00 90.00 90.00
Space group Cmmm (No. 65)
Unique sites:
Ga1 0.0000 0.0000 0.0000
Fe1 0.0000 0.0000 0.5000
Fe2 0.0000 0.5000 0.2538

Top 7 peaks for 2θ from 5° to 70°, most intense first:
2θ (°), d (Å), I/Imax
43.68, 2.072, 100
44.05, 2.056, 24
46.06, 1.971, 21
65.63, 1.423, 14
61.31, 1.512, 8
11.23, 7.882, 1
38.69, 2.328, 1


Rb3Pr3InTe8: calculated XRD peak list (Cu Kα (λ = 1.5418 Å)), based on a DFT-relaxed cell (PBE, Alexandria).

Atomic structure:
Lattice parameters (Å, degrees): 15.7696 9.0870 10.3206 90.00 120.66 90.00
Space group C2/m (No. 12)
Unique sites:
Rb1 0.0000 0.0000 0.0000
Rb2 0.2500 0.2500 0.0000
Pr1 0.0000 0.5000 0.5000
Pr2 0.2500 0.2500 0.5000
In1 0.0000 0.0000 0.5000
Te1 0.0139 0.2408 0.3009
Te2 0.2265 0.0000 0.6988
Te3 0.2359 0.5000 0.7077

Top 8 peaks for 2θ from 5° to 70°, most intense first:
2θ (°), d (Å), I/Imax
26.29, 3.390, 100
39.63, 2.274, 36
9.96, 8.878, 35
35.30, 2.543, 34
48.19, 1.888, 19
32.73, 2.736, 17
43.89, 2.063, 12
64.07, 1.453, 10